# NaFeW2O8
Simulated powder diffractogram, λ = 1.5418 Å (Cu Kα). Input: a PBE+U-relaxed structure.

Main lines, in order of falling intensity (10° ≤ 2θ ≤ 90°):
- (2 1 1), 2θ 29.53, d 3.025, intensity 100
- (2 1 -1), 2θ 29.18, d 3.061, intensity 100
- (2 0 0), 2θ 17.69, d 5.012, intensity 94
- (0 1 1), 2θ 23.23, d 3.829, intensity 80
- (2 1 0), 2θ 23.41, d 3.801, intensity 54
- (0 0 2), 2θ 35.37, d 2.538, intensity 35
- (0 2 1), 2θ 35.51, d 2.528, intensity 34
- (2 2 1), 2θ 40.08, d 2.250, intensity 32
- (2 3 0), 2θ 50.36, d 1.812, intensity 28
- (4 2 1), 2θ 51.56, d 1.773, intensity 24
- (0 1 0), 2θ 15.20, d 5.830, intensity 24
- (4 0 0), 2θ 35.84, d 2.506, intensity 22

Crystal structure
```
data_NaFeW2O8
_symmetry_space_group_name_H-M 'P 1 2/c 1'
_symmetry_Int_Tables_number 13
_symmetry_space_group_name_Hall '-P 2yc'
_cell_length_a 10.0260
_cell_length_b 5.8297
_cell_length_c 5.0778
_cell_angle_alpha 90.00
_cell_angle_beta 90.92
_cell_angle_gamma 90.00
loop_
_atom_site_label
_atom_site_type_symbol
_atom_site_fract_x
_atom_site_fract_y
_atom_site_fract_z
Na1 Na 0.0000 0.1877 0.2500
Fe1 Fe 0.5000 0.1608 0.2500
W1 W 0.2644 0.3237 0.7395
O1 O 0.1459 0.1233 0.6215
O2 O 0.1710 0.4094 0.0514
O3 O 0.3749 0.3752 0.4226
O4 O 0.3925 0.1249 0.9085
```